Starting from a cell relaxed with PBE+U, the powder XRD pattern of LiCoBO3 was calculated for Cu Kα X-rays.
Peak positions follow from Bragg's law for the DFT cell and can differ from measured ones.

The 10 most intense peaks (5 to 70 degrees two-theta), by angle:
two_theta, I (rel.)
19.91, 58.4
21.73, 100.0
26.14, 35.0
26.48, 24.7
34.53, 80.8
34.74, 21.5
34.84, 50.2
41.22, 34.2
41.45, 21.6
48.56, 22.7

Atomic structure:
```
data_LiCoBO3
_cell_length_a 5.1498
_cell_length_b 5.1498
_cell_length_c 10.3904
_cell_angle_alpha 90.42
_cell_angle_beta 90.42
_cell_angle_gamma 119.80
_symmetry_space_group_name_H-M 'P 1'
_symmetry_Int_Tables_number 1
loop_
_symmetry_equiv_pos_as_xyz
'x,y,z'
loop_
_atom_site_label
_atom_site_type_symbol
_atom_site_fract_x
_atom_site_fract_y
_atom_site_fract_z
Li1 Li 0.0010 0.9990 0.5000
Li2 Li 0.3157 0.3307 0.2508
Li3 Li 0.3307 0.3157 0.7508
Li4 Li 0.9990 0.0010 0.0000
Co1 Co 0.3357 0.6642 0.9802
Co2 Co 0.6596 0.9879 0.7290
Co3 Co 0.6642 0.3357 0.4802
Co4 Co 0.9879 0.6596 0.2290
B1 B 0.3276 0.6655 0.4573
B2 B 0.6595 0.9975 0.2072
B3 B 0.6655 0.3276 0.9573
B4 B 0.9975 0.6595 0.7072
O1 O 0.0073 0.9314 0.6940
O2 O 0.0662 0.6801 0.4284
O3 O 0.2474 0.6419 0.7413
O4 O 0.3163 0.3926 0.4432
O5 O 0.3926 0.3163 0.9432
O6 O 0.3945 0.7255 0.1793
O7 O 0.5877 0.9204 0.4940
O8 O 0.6419 0.2474 0.2413
O9 O 0.6801 0.0662 0.9284
O10 O 0.7255 0.3945 0.6793
O11 O 0.9204 0.5877 0.9940
O12 O 0.9314 0.0073 0.1940
```